[1]
Simulated XRD peak list
Compound: Na2UTe2O10
Radiation: a wavelength of 1.5418 Å
Structure: the PBE geometry in Alexandria

Structure:
a = 6.790 Å, b = 6.790 Å, c = 8.622 Å
α = 91.30°, β = 91.30°, γ = 33.70°
Element x y z (fractional)
Na  0.219  0.219  0.283
Na  0.781  0.781  0.717
U  0.500  0.500  0.500
Te  0.068  0.068  0.853
Te  0.932  0.932  0.147
O  0.007  0.007  0.643
O  0.081  0.081  0.081
O  0.205  0.205  0.814
O  0.360  0.360  0.530
O  0.450  0.450  0.194
O  0.550  0.550  0.806
O  0.640  0.640  0.470
O  0.795  0.795  0.186
O  0.919  0.919  0.919
O  0.993  0.993  0.357

The 8 most intense peaks (2θ = 15–90°), low angle first:
d [Å]  Position (°2θ)  I (rel.)
5.248  16.89  52
3.553  25.06  50
3.461  25.74  57
3.444  25.87  100
3.064  29.15  44
2.873  31.13  40
2.846  31.43  52
2.747  32.60  43

***

[2]
Simulated XRD peak list
Compound: NaUTe2O8
Radiation: a wavelength of 1.5418 Å
Structure: the PBE geometry in Alexandria

Structure:
a = 7.777 Å, b = 6.089 Å, c = 8.197 Å
α = 90.00°, β = 90.00°, γ = 90.00°
Element x y z (fractional)
Na  0.000  0.126  0.000
Na  0.500  0.874  0.500
U  0.000  0.950  0.502
U  0.500  0.050  0.002
Te  0.244  0.615  0.830
Te  0.256  0.385  0.330
Te  0.744  0.385  0.330
Te  0.756  0.615  0.830
O  0.000  0.108  0.691
O  0.000  0.275  0.304
O  0.000  0.519  0.882
O  0.000  0.784  0.315
O  0.198  0.703  0.611
O  0.231  0.883  0.944
O  0.269  0.117  0.444
O  0.302  0.297  0.111
O  0.500  0.216  0.815
O  0.500  0.481  0.382
O  0.500  0.725  0.804
O  0.500  0.892  0.191
O  0.698  0.297  0.111
O  0.731  0.117  0.444
O  0.769  0.883  0.944
O  0.802  0.703  0.611

The 8 most intense peaks (2θ = 15–90°), low angle first:
d [Å]  Position (°2θ)  I (rel.)
5.642  15.71  96
4.888  18.15  47
4.138  21.47  100
3.400  26.21  96
3.277  27.21  98
3.043  29.35  67
2.854  31.34  49
2.821  31.72  56

***

[3]
Simulated XRD peak list
Compound: NaZnTeO4
Radiation: a wavelength of 1.5418 Å
Structure: the PBE geometry in Alexandria

Structure:
a = 5.368 Å, b = 5.368 Å, c = 8.523 Å
α = 90.00°, β = 90.00°, γ = 90.00°
Element x y z (fractional)
Na  0.000  0.000  0.000
Na  0.500  0.500  0.500
Zn  0.000  0.500  0.750
Zn  0.500  0.000  0.250
Te  0.000  0.000  0.500
Te  0.500  0.500  0.000
O  0.177  0.251  0.620
O  0.249  0.677  0.880
O  0.251  0.823  0.380
O  0.323  0.249  0.120
O  0.677  0.751  0.120
O  0.749  0.177  0.380
O  0.751  0.323  0.880
O  0.823  0.749  0.620

The 8 most intense peaks (2θ = 15–90°), low angle first:
d [Å]  Position (°2θ)  I (rel.)
4.542  19.54  100
2.834  31.56  82
2.684  33.38  19
2.311  38.98  22
1.898  47.93  16
1.834  49.72  16
1.669  55.03  22
1.577  58.53  26

***

[4]
Simulated XRD peak list
Compound: NaZnTe2O8
Radiation: a wavelength of 1.5418 Å
Structure: the PBE geometry in Alexandria

Structure:
a = 5.657 Å, b = 5.657 Å, c = 6.393 Å
α = 90.00°, β = 90.00°, γ = 120.00°
Element x y z (fractional)
Na  0.000  0.000  0.000
Zn  0.000  0.000  0.500
Te  0.333  0.667  0.445
Te  0.667  0.333  0.555
O  0.064  0.371  0.631
O  0.307  0.936  0.631
O  0.333  0.667  0.152
O  0.371  0.307  0.369
O  0.629  0.693  0.631
O  0.667  0.333  0.848
O  0.693  0.064  0.369
O  0.936  0.629  0.369

The 8 most intense peaks (2θ = 15–90°), low angle first:
d [Å]  Position (°2θ)  I (rel.)
3.889  22.87  44
3.197  27.91  30
2.828  31.63  100
2.587  34.68  79
2.118  42.68  65
1.702  53.86  21
1.633  56.34  31
1.582  58.32  28

***

[5]
Simulated XRD peak list
Compound: Na8ThO6
Radiation: a wavelength of 1.5418 Å
Structure: the PBE geometry in Alexandria

Structure:
a = 7.067 Å, b = 7.067 Å, c = 7.067 Å
α = 54.71°, β = 54.71°, γ = 54.71°
Element x y z (fractional)
Na  0.003  0.596  0.258
Na  0.156  0.156  0.156
Na  0.258  0.003  0.596
Na  0.404  0.742  0.997
Na  0.596  0.258  0.003
Na  0.742  0.997  0.404
Na  0.844  0.844  0.844
Na  0.997  0.404  0.742
Th  0.500  0.500  0.500
O  0.134  0.726  0.408
O  0.274  0.592  0.866
O  0.408  0.134  0.726
O  0.592  0.866  0.274
O  0.726  0.408  0.134
O  0.866  0.274  0.592

The 8 most intense peaks (2θ = 15–90°), low angle first:
d [Å]  Position (°2θ)  I (rel.)
5.368  16.51  96
4.768  18.61  75
3.510  25.37  35
3.029  29.49  32
2.855  31.33  100
2.202  40.99  63
2.069  43.76  21
1.875  48.56  33

***

[6]
Simulated XRD peak list
Compound: NaTi8O13
Radiation: a wavelength of 1.5418 Å
Structure: the PBE geometry in Alexandria

Structure:
a = 6.499 Å, b = 6.499 Å, c = 6.499 Å
α = 73.42°, β = 73.42°, γ = 73.42°
Element x y z (fractional)
Na  0.000  0.000  0.000
Ti  0.184  0.625  0.450
Ti  0.229  0.229  0.229
Ti  0.375  0.550  0.816
Ti  0.450  0.184  0.625
Ti  0.550  0.816  0.375
Ti  0.625  0.450  0.184
Ti  0.771  0.771  0.771
Ti  0.816  0.375  0.550
O  0.077  0.674  0.768
O  0.143  0.295  0.548
O  0.232  0.923  0.326
O  0.295  0.548  0.143
O  0.326  0.232  0.923
O  0.452  0.857  0.705
O  0.500  0.500  0.500
O  0.548  0.143  0.295
O  0.674  0.768  0.077
O  0.705  0.452  0.857
O  0.768  0.077  0.674
O  0.857  0.705  0.452
O  0.923  0.326  0.232

The 8 most intense peaks (2θ = 15–90°), low angle first:
d [Å]  Position (°2θ)  I (rel.)
3.273  27.25  25
2.995  29.83  44
2.602  34.47  15
2.503  35.88  12
2.063  43.89  100
1.468  63.34  28
1.449  64.28  22
1.196  80.25  11

***

[7]
Simulated XRD peak list
Compound: Na4Ti7O16
Radiation: a wavelength of 1.5418 Å
Structure: the PBE geometry in Alexandria

Structure:
a = 6.159 Å, b = 6.074 Å, c = 9.097 Å
α = 90.00°, β = 94.18°, γ = 90.00°
Element x y z (fractional)
Na  0.218  0.000  0.118
Na  0.241  0.500  0.373
Na  0.759  0.500  0.627
Na  0.782  0.000  0.882
Ti  0.000  0.000  0.500
Ti  0.270  0.255  0.753
Ti  0.270  0.745  0.753
Ti  0.500  0.000  0.500
Ti  0.500  0.500  0.000
Ti  0.730  0.255  0.247
Ti  0.730  0.745  0.247
O  0.056  0.000  0.722
O  0.091  0.500  0.715
O  0.252  0.207  0.511
O  0.252  0.793  0.511
O  0.283  0.266  0.953
O  0.283  0.734  0.953
O  0.488  0.000  0.719
O  0.500  0.500  0.222
O  0.500  0.500  0.778
O  0.512  0.000  0.281
O  0.717  0.266  0.047
O  0.717  0.734  0.047
O  0.748  0.207  0.489
O  0.748  0.793  0.489
O  0.909  0.500  0.285
O  0.944  0.000  0.278

The 8 most intense peaks (2θ = 15–90°), low angle first:
d [Å]  Position (°2θ)  I (rel.)
5.268  16.83  100
5.047  17.57  36
2.634  34.04  44
2.582  34.74  63
2.268  39.74  28
2.159  41.83  55
1.606  57.39  27
1.525  60.71  29

***

[8]
Simulated XRD peak list
Compound: Na3Ti8O16
Radiation: a wavelength of 1.5418 Å
Structure: the PBE geometry in Alexandria

Structure:
a = 6.122 Å, b = 12.251 Å, c = 8.652 Å
α = 90.00°, β = 90.00°, γ = 90.00°
Element x y z (fractional)
Na  0.250  0.001  0.126
Na  0.250  0.499  0.126
Na  0.250  0.750  0.377
Na  0.750  0.250  0.623
Na  0.750  0.501  0.874
Na  0.750  0.999  0.874
Ti  0.000  0.000  0.500
Ti  0.000  0.500  0.500
Ti  0.005  0.250  0.008
Ti  0.250  0.128  0.741
Ti  0.250  0.372  0.741
Ti  0.250  0.627  0.748
Ti  0.250  0.873  0.748
Ti  0.495  0.250  0.008
Ti  0.500  0.000  0.500
Ti  0.500  0.500  0.500
Ti  0.505  0.750  0.992
Ti  0.750  0.127  0.252
Ti  0.750  0.373  0.252
Ti  0.750  0.628  0.259
Ti  0.750  0.872  0.259
Ti  0.995  0.750  0.992
O  0.035  0.750  0.765
O  0.036  0.250  0.769
O  0.038  0.001  0.731
O  0.038  0.499  0.731
O  0.250  0.108  0.517
O  0.250  0.144  0.982
O  0.250  0.356  0.982
O  0.250  0.392  0.517
O  0.250  0.606  0.516
O  0.250  0.643  0.979
O  0.250  0.857  0.979
O  0.250  0.894  0.516
O  0.462  0.001  0.731
O  0.462  0.499  0.731
O  0.464  0.250  0.769
O  0.465  0.750  0.765
O  0.535  0.250  0.235
O  0.536  0.750  0.231
O  0.538  0.501  0.269
O  0.538  0.999  0.269
O  0.750  0.106  0.484
O  0.750  0.143  0.021
O  0.750  0.357  0.021
O  0.750  0.394  0.484
O  0.750  0.608  0.483
O  0.750  0.644  0.018
O  0.750  0.856  0.018
O  0.750  0.892  0.483
O  0.962  0.501  0.269
O  0.962  0.999  0.269
O  0.964  0.750  0.231
O  0.965  0.250  0.235

The 8 most intense peaks (2θ = 15–90°), low angle first:
d [Å]  Position (°2θ)  I (rel.)
4.999  17.74  100
3.061  29.17  9
2.610  34.35  76
2.164  41.73  60
1.666  55.12  38
1.530  60.49  50
1.463  63.58  12
1.127  86.30  10